Record 1
For CdRh3, a structure optimized by DFT (GGA-PBE) gives the theoretical XRD peak list in this record (Cu Kα).

```
data_CdRh3
_chemical_formula_sum 'Cd2 Rh6'
_cell_length_a 5.0331
_cell_length_b 5.0331
_cell_length_c 5.0331
_cell_angle_alpha 90.00
_cell_angle_beta 90.00
_cell_angle_gamma 90.00
_space_group_name_H-M_alt 'P m -3 n'
_space_group_IT_number 223
_space_group_name_Hall '-P 4n 2 3'
loop_
_atom_site_label
_atom_site_fract_x
_atom_site_fract_y
_atom_site_fract_z
_atom_site_occupancy
Cd1 0.0000 0.0000 0.0000 1
Rh1 0.0000 0.2500 0.5000 1
```

Most intense lines, 5° ≤ 2θ ≤ 70°, sorted by position:
- 35.68 deg, rel. 37.7, hkl 2 0 0
- 40.06 deg, rel. 100.0, hkl 2 1 0
- 44.07 deg, rel. 82.3, hkl 2 1 1
- 64.09 deg, rel. 7.6, hkl 2 2 2
- 67.05 deg, rel. 21.2, hkl 3 2 0
- 69.94 deg, rel. 39.8, hkl 3 2 1

Record 2
For PrNd6Ho3, a structure optimized by DFT (GGA-PBE) gives the theoretical XRD peak list in this record (Cu Kα).

```
data_PrNd6Ho3
_chemical_formula_sum 'Pr4 Nd24 Ho12'
_cell_length_a 9.8366
_cell_length_b 21.5029
_cell_length_c 6.5118
_cell_angle_alpha 90.00
_cell_angle_beta 90.00
_cell_angle_gamma 90.00
_space_group_name_H-M_alt 'C m c 21'
_space_group_IT_number 36
_space_group_name_Hall 'C 2c -2'
loop_
_atom_site_label
_atom_site_fract_x
_atom_site_fract_y
_atom_site_fract_z
_atom_site_occupancy
Pr1 0.0000 0.1554 0.0000 1
Nd1 0.0000 0.0138 0.2244 1
Nd2 0.0000 0.3000 0.2026 1
Nd3 0.1739 0.2821 0.6775 1
Nd4 0.1787 0.4412 0.4292 1
Ho1 0.0000 0.4187 0.9085 1
Ho2 0.1688 0.1276 0.5227 1
```

Most intense lines, 5° ≤ 2θ ≤ 70°, sorted by position:
- 28.15 deg, rel. 58.0, hkl 2 4 1
- 28.43 deg, rel. 32.3, hkl 0 6 1
- 28.65 deg, rel. 27.8, hkl 0 2 2
- 30.49 deg, rel. 63.1, hkl 1 7 0
- 30.82 deg, rel. 100.0, hkl 3 1 1
- 31.52 deg, rel. 54.5, hkl 1 3 2
- 32.14 deg, rel. 40.0, hkl 0 4 2
- 33.04 deg, rel. 60.2, hkl 3 3 1
- 33.87 deg, rel. 30.5, hkl 2 6 1
- 55.05 deg, rel. 17.1, hkl 3 5 3
- 55.31 deg, rel. 19.6, hkl 3 9 2
- 56.10 deg, rel. 29.8, hkl 6 0 0

Record 3
For TiNi6Ir, a structure optimized by DFT (GGA-PBE) gives the theoretical XRD peak list in this record (Cu Kα).

```
data_TiNi6Ir
_chemical_formula_sum 'Ti3 Ni18 Ir3'
_cell_length_a 4.6764
_cell_length_b 4.6764
_cell_length_c 19.0038
_cell_angle_alpha 90.00
_cell_angle_beta 90.00
_cell_angle_gamma 120.00
_space_group_name_H-M_alt 'R -3 m'
_space_group_IT_number 166
_space_group_name_Hall '-R 3 2"'
loop_
_atom_site_label
_atom_site_fract_x
_atom_site_fract_y
_atom_site_fract_z
_atom_site_occupancy
Ti1 0.0000 0.0000 0.0000 1
Ni1 0.0052 0.5026 0.4366 1
Ir1 0.0000 0.0000 0.5000 1
```

Most intense lines, 5° ≤ 2θ ≤ 70°, sorted by position:
- 13.98 deg, rel. 100.0, hkl 0 0 3
- 23.88 deg, rel. 20.6, hkl 0 1 2
- 28.97 deg, rel. 41.2, hkl 1 0 4
- 32.30 deg, rel. 17.5, hkl 0 1 5
- 39.98 deg, rel. 20.2, hkl 1 0 7
- 44.20 deg, rel. 28.3, hkl 0 1 8
- 45.02 deg, rel. 50.2, hkl 0 2 1
- 45.82 deg, rel. 48.8, hkl 2 0 2
- 48.39 deg, rel. 35.2, hkl 1 1 6
- 48.89 deg, rel. 8.1, hkl 0 2 4
- 53.24 deg, rel. 12.1, hkl 1 0 10
- 58.94 deg, rel. 12.2, hkl 1 1 9

Question: What is the formula in the first record?
Answer: CdRh3